Record 1
Diffraction record for Mg5AlHg2. The XRD peak list is computed, not measured: it uses a structure optimized by DFT (GGA-PBE) and a wavelength of 1.5418 Å.
No peak broadening, texture or thermal motion is included.

Structure:
Unit cell a=4.6828 b=4.6828 c=19.2733 alpha=90.00 beta=90.00 gamma=120.00
Positions (direct):
Mg1 0.0000 0.0000 0.1632
Mg2 0.0000 0.0000 0.3368
Mg3 0.0000 0.0000 0.6632
Mg4 0.0000 0.0000 0.8368
Mg5 0.3333 0.6667 0.0486
Mg6 0.3333 0.6667 0.2500
Mg7 0.3333 0.6667 0.4514
Mg8 0.6667 0.3333 0.5486
Mg9 0.6667 0.3333 0.7500
Mg10 0.6667 0.3333 0.9514
Al1 0.3333 0.6667 0.7500
Al2 0.6667 0.3333 0.2500
Hg1 0.3333 0.6667 0.6022
Hg2 0.3333 0.6667 0.8978
Hg3 0.6667 0.3333 0.1022
Hg4 0.6667 0.3333 0.3978

Top 8 peaks for 2θ = 15–90°, low angle first:
(0 0 4), 18.41 deg, intensity 38; (1 0 0), 21.92 deg, intensity 37; (1 0 1), 22.40 deg, intensity 66; (1 0 3), 25.98 deg, intensity 100; (1 0 6), 35.66 deg, intensity 30; (1 1 0), 38.45 deg, intensity 68; (1 0 7), 39.56 deg, intensity 61; (1 1 6), 48.08 deg, intensity 32

=====

Record 2
Diffraction record for Mg2AlHg6. The XRD peak list is computed, not measured: it uses a structure optimized by DFT (GGA-PBE) and a wavelength of 1.5418 Å.
No peak broadening, texture or thermal motion is included.

Structure:
Unit cell a=5.9659 b=9.3923 c=9.6495 alpha=90.00 beta=127.75 gamma=90.00
Positions (direct):
Mg1 0.1478 0.0720 0.3001
Mg2 0.1478 0.4280 0.8001
Mg3 0.8522 0.5720 0.1999
Mg4 0.8522 0.9280 0.6999
Al1 0.5000 0.0000 0.0000
Al2 0.5000 0.5000 0.5000
Hg1 0.0736 0.1666 0.9713
Hg2 0.0736 0.3334 0.4713
Hg3 0.3076 0.7204 0.9394
Hg4 0.3076 0.7796 0.4394
Hg5 0.3272 0.0317 0.6677
Hg6 0.3272 0.4683 0.1677
Hg7 0.6728 0.5317 0.8323
Hg8 0.6728 0.9683 0.3323
Hg9 0.6924 0.2204 0.5606
Hg10 0.6924 0.2796 0.0606
Hg11 0.9264 0.6666 0.5287
Hg12 0.9264 0.8334 0.0287

Top 8 peaks for 2θ = 15–90°, low angle first:
(1 2 -2), 26.89 deg, intensity 64; (1 1 1), 29.28 deg, intensity 52; (0 2 2), 30.18 deg, intensity 77; (2 1 -2), 31.47 deg, intensity 100; (1 3 -1), 32.29 deg, intensity 68; (2 1 -1), 33.56 deg, intensity 49; (1 3 0), 34.38 deg, intensity 43; (2 1 -4), 39.65 deg, intensity 55